Starting from a DFT-relaxed cell (GGA-PBE, the Materials Project), the X-ray powder pattern of Fe7Ge4 was simulated for Cu Kα (weighted mean of Kα1 and Kα2).

Cell and atoms:
Lattice parameters (Å, degrees): 4.0606 4.0606 9.9525 90.00 90.00 120.00
Space group P-6m2 (No. 187)
Unique sites:
Fe 0.0000 0.0000 0.0000 (multiplicity 1)
Fe 0.3333 0.6667 0.1238 (multiplicity 2)
Fe 0.3333 0.6667 0.3762 (multiplicity 2)
Fe 0.6667 0.3333 0.2599 (multiplicity 2)
Ge 0.0000 0.0000 0.2528 (multiplicity 2)
Ge 0.6667 0.3333 0.0000 (multiplicity 1)
Ge 0.6667 0.3333 0.5000 (multiplicity 1)

Top 10 peaks for 10 to 90 degrees two-theta, most intense first:
| 2θ/deg | I (rel.) |
| --- | --- |
| 44.6 | 100 |
| 82.2 | 22 |
| 64.9 | 14 |
| 31.1 | 7 |
| 58.7 | 5 |
| 26.9 | 4 |
| 36.1 | 4 |
| 76.6 | 3 |
| 52.9 | 2 |
| 55.4 | 2 |